Record 1
Structure and simulated XRD peak list of Cr2Fe9N8 (a PBE-relaxed structure; Cu Kα (λ = 1.5418 Å)).

Top 8 peaks for 2θ from 5° to 70°, by intensity:
2θ = 39.6°, d 2.277, I = 100; 2θ = 47.3°, d 1.921, I = 55; 2θ = 38.4°, d 2.341, I = 37; 2θ = 38.0°, d 2.366, I = 34; 2θ = 34.0°, d 2.639, I = 30; 2θ = 35.9°, d 2.502, I = 26; 2θ = 46.6°, d 1.949, I = 24; 2θ = 44.5°, d 2.034, I = 22

Structure:
Lattice parameters (Å, degrees): 7.9237 7.9237 6.1470 102.12 102.12 28.07
Fractional coordinates of all 19 atoms:
Cr 0.2065 0.2065 0.1806
Cr 0.7935 0.7935 0.8194
Fe 0.0027 0.0027 0.2306
Fe 0.1771 0.1771 0.6787
Fe 0.3469 0.3469 0.5928
Fe 0.4025 0.4025 0.0448
Fe 0.5000 0.5000 0.5000
Fe 0.5975 0.5975 0.9552
Fe 0.6531 0.6531 0.4072
Fe 0.8229 0.8229 0.3213
Fe 0.9973 0.9973 0.7694
N 0.1198 0.1198 0.9254
N 0.1310 0.1310 0.3700
N 0.3299 0.3299 0.2762
N 0.4708 0.4708 0.7879
N 0.5292 0.5292 0.2121
N 0.6701 0.6701 0.7238
N 0.8690 0.8690 0.6300
N 0.8802 0.8802 0.0746

***

Record 2
Structure and simulated XRD peak list of CrFe3N (a PBE-relaxed structure; Cu Kα (λ = 1.5418 Å)).

Top 5 peaks for 2θ from 5° to 70°, by intensity:
2θ = 41.0°, d 2.199, I = 100; 2θ = 47.8°, d 1.905, I = 58; 2θ = 69.8°, d 1.347, I = 33; 2θ = 23.4°, d 3.809, I = 3; 2θ = 53.8°, d 1.704, I = 1

Structure:
Lattice parameters (Å, degrees): 3.8093 3.8093 3.8093 90.00 90.00 90.00
Fractional coordinates of all 5 atoms:
Cr 0.0000 0.0000 0.0000
Fe 0.0000 0.5000 0.5000
Fe 0.5000 0.0000 0.5000
Fe 0.5000 0.5000 0.0000
N 0.5000 0.5000 0.5000

***

Record 3
Structure and simulated XRD peak list of Cr8Fe3N8 (a PBE-relaxed structure; Cu Kα (λ = 1.5418 Å)).

Top 8 peaks for 2θ from 5° to 70°, by intensity:
2θ = 46.1°, d 1.968, I = 100; 2θ = 45.9°, d 1.979, I = 68; 2θ = 37.9°, d 2.376, I = 61; 2θ = 41.2°, d 2.193, I = 55; 2θ = 37.5°, d 2.399, I = 40; 2θ = 42.4°, d 2.130, I = 35; 2θ = 43.8°, d 2.066, I = 33; 2θ = 35.6°, d 2.519, I = 31

Structure:
Lattice parameters (Å, degrees): 8.2578 8.2578 6.0288 108.78 108.78 27.58
Fractional coordinates of all 19 atoms:
Cr 0.0316 0.0316 0.2630
Cr 0.2179 0.2179 0.8384
Cr 0.3483 0.3483 0.5300
Cr 0.4095 0.4095 0.0453
Cr 0.5905 0.5905 0.9547
Cr 0.6517 0.6517 0.4700
Cr 0.7821 0.7821 0.1616
Cr 0.9684 0.9684 0.7370
Fe 0.1836 0.1836 0.2159
Fe 0.5000 0.5000 0.5000
Fe 0.8164 0.8164 0.7841
N 0.1041 0.1041 0.9085
N 0.1554 0.1554 0.4880
N 0.2996 0.2996 0.1819
N 0.4652 0.4652 0.7691
N 0.5348 0.5348 0.2309
N 0.7004 0.7004 0.8181
N 0.8446 0.8446 0.5120
N 0.8959 0.8959 0.0915

***

Record 4
Structure and simulated XRD peak list of NbCrFe (a PBE-relaxed structure; Cu Kα (λ = 1.5418 Å)).

Top 8 peaks for 2θ from 5° to 70°, by intensity:
2θ = 43.7°, d 2.070, I = 100; 2θ = 40.8°, d 2.211, I = 83; 2θ = 44.2°, d 2.051, I = 81; 2θ = 44.7°, d 2.027, I = 66; 2θ = 36.8°, d 2.442, I = 46; 2θ = 40.7°, d 2.218, I = 40; 2θ = 37.2°, d 2.414, I = 24; 2θ = 46.6°, d 1.951, I = 17

Structure:
Lattice parameters (Å, degrees): 7.8025 4.8849 4.8849 59.24 90.00 90.00
Fractional coordinates of all 12 atoms:
Nb 0.1853 0.0000 0.0000
Nb 0.3076 0.3326 0.3326
Nb 0.6924 0.3326 0.3326
Nb 0.8147 0.0000 0.0000
Cr 0.2409 0.6667 0.6667
Cr 0.5000 0.3241 0.8359
Cr 0.5000 0.8359 0.3241
Cr 0.7591 0.6667 0.6667
Fe 0.0000 0.0069 0.4942
Fe 0.0000 0.4933 0.4933
Fe 0.0000 0.4942 0.0069
Fe 0.5000 0.8366 0.8366

***

Record 5
Structure and simulated XRD peak list of NdCr2Fe10 (a PBE-relaxed structure; Cu Kα (λ = 1.5418 Å)).

Top 8 peaks for 2θ from 5° to 70°, by intensity:
2θ = 43.0°, d 2.104, I = 100; 2θ = 44.1°, d 2.053, I = 74; 2θ = 30.3°, d 2.951, I = 44; 2θ = 42.4°, d 2.130, I = 34; 2θ = 42.7°, d 2.115, I = 31; 2θ = 49.3°, d 1.848, I = 27; 2θ = 37.2°, d 2.417, I = 21; 2θ = 37.0°, d 2.429, I = 20

Structure:
Lattice parameters (Å, degrees): 6.4456 6.4456 6.4456 137.34 97.96 97.25
Fractional coordinates of all 13 atoms:
Nd 0.0000 0.0000 0.0000
Cr 0.3681 0.3681 0.0000
Cr 0.6319 0.6319 0.0000
Fe 0.0000 0.0000 0.5000
Fe 0.0000 0.5000 0.0000
Fe 0.2298 0.5000 0.7298
Fe 0.2310 0.7310 0.5000
Fe 0.3606 0.0000 0.3606
Fe 0.5000 0.0000 0.0000
Fe 0.5000 0.5000 0.5000
Fe 0.6394 0.0000 0.6394
Fe 0.7690 0.2690 0.5000
Fe 0.7702 0.5000 0.2702

***

Record 6
Structure and simulated XRD peak list of Cr4FeNiS8 (a PBE-relaxed structure; Cu Kα (λ = 1.5418 Å)).

Top 8 peaks for 2θ from 5° to 70°, by intensity:
2θ = 30.2°, d 2.956, I = 100; 2θ = 52.8°, d 1.733, I = 89; 2θ = 36.7°, d 2.451, I = 49; 2θ = 48.2°, d 1.887, I = 42; 2θ = 25.7°, d 3.466, I = 34; 2θ = 45.3°, d 2.001, I = 14; 2θ = 62.1°, d 1.495, I = 11; 2θ = 66.0°, d 1.415, I = 9

Structure:
Lattice parameters (Å, degrees): 6.9322 6.9322 6.9322 60.00 60.00 60.00
Fractional coordinates of all 14 atoms:
Cr 0.1215 0.1215 0.1215
Cr 0.1215 0.1215 0.6354
Cr 0.1215 0.6354 0.1215
Cr 0.6354 0.1215 0.1215
Fe 0.5000 0.5000 0.5000
Ni 0.7500 0.7500 0.7500
S 0.3615 0.8795 0.8795
S 0.3674 0.3674 0.3674
S 0.3674 0.3674 0.8979
S 0.3674 0.8979 0.3674
S 0.8795 0.3615 0.8795
S 0.8795 0.8795 0.3615
S 0.8795 0.8795 0.8795
S 0.8979 0.3674 0.3674

***

Record 7
Structure and simulated XRD peak list of Cr8Fe3NiS16 (a PBE-relaxed structure; Cu Kα (λ = 1.5418 Å)).

Top 8 peaks for 2θ from 5° to 70°, by intensity:
2θ = 29.9°, d 2.987, I = 100; 2θ = 36.3°, d 2.477, I = 51; 2θ = 52.2°, d 1.753, I = 46; 2θ = 52.3°, d 1.749, I = 45; 2θ = 47.7°, d 1.907, I = 43; 2θ = 25.4°, d 3.503, I = 33; 2θ = 44.8°, d 2.023, I = 9; 2θ = 15.5°, d 5.720, I = 9

Structure:
Lattice parameters (Å, degrees): 12.1118 12.1118 12.1118 33.66 33.66 33.66
Fractional coordinates of all 28 atoms:
Cr 0.0000 0.0000 0.0000
Cr 0.2464 0.7496 0.7496
Cr 0.2522 0.2522 0.7485
Cr 0.2522 0.7485 0.2522
Cr 0.4980 0.4980 0.4980
Cr 0.7485 0.2522 0.2522
Cr 0.7496 0.2464 0.7496
Cr 0.7496 0.7496 0.2464
Fe 0.1873 0.1873 0.1873
Fe 0.3122 0.3122 0.3122
Fe 0.6873 0.6873 0.6873
Ni 0.8119 0.8119 0.8119
S 0.1122 0.1122 0.6446
S 0.1122 0.6446 0.1122
S 0.1210 0.1210 0.1210
S 0.1379 0.6166 0.6166
S 0.3548 0.8873 0.8873
S 0.3790 0.3790 0.3790
S 0.3868 0.3868 0.8528
S 0.3868 0.8528 0.3868
S 0.6166 0.1379 0.6166
S 0.6166 0.6166 0.1379
S 0.6199 0.6199 0.6199
S 0.6446 0.1122 0.1122
S 0.8528 0.3868 0.3868
S 0.8774 0.8774 0.8774
S 0.8873 0.3548 0.8873
S 0.8873 0.8873 0.3548

***

Record 8
Structure and simulated XRD peak list of CrFeP (a PBE-relaxed structure; Cu Kα (λ = 1.5418 Å)).

Top 8 peaks for 2θ from 5° to 70°, by intensity:
2θ = 40.7°, d 2.218, I = 100; 2θ = 42.8°, d 2.112, I = 80; 2θ = 51.7°, d 1.767, I = 64; 2θ = 40.4°, d 2.231, I = 43; 2θ = 49.0°, d 1.859, I = 33; 2θ = 49.5°, d 1.841, I = 32; 2θ = 44.3°, d 2.043, I = 30; 2θ = 55.5°, d 1.655, I = 15

Structure:
Lattice parameters (Å, degrees): 5.7535 3.5340 6.5557 90.00 90.00 90.00
Fractional coordinates of all 12 atoms:
Cr 0.0237 0.2500 0.1701
Cr 0.4763 0.7500 0.6701
Cr 0.5237 0.2500 0.3299
Cr 0.9763 0.7500 0.8299
Fe 0.1442 0.2500 0.5619
Fe 0.3558 0.7500 0.0619
Fe 0.6442 0.2500 0.9381
Fe 0.8558 0.7500 0.4381
P 0.2347 0.7500 0.3768
P 0.2653 0.2500 0.8768
P 0.7347 0.7500 0.1232
P 0.7653 0.2500 0.6232